Diffraction record for MoPClO4. The XRD peak list is calculated, not measured: it uses a structure optimized by DFT (GGA+U) and Cu Kα (λ = 1.5418 Å).

Principal peaks in the range 10° ≤ 2θ ≤ 80°, in order of rising 2θ:
(hkl), two_theta, Rel. int.
0 0 1, 14.54, 53.5
1 1 -1, 20.15, 45.3
2 0 0, 20.26, 54.6
0 2 0, 26.92, 100.0
0 0 2, 29.32, 31.5
3 1 -1, 32.67, 43.5
3 1 -2, 38.20, 25.3
3 3 -1, 51.31, 29.6

Atomic structure:
a b c (Å): 9.1917 6.6234 6.3877
angles (deg): 90.00 107.49 90.00
Space group C2/m (No. 12)
Symmetry-distinct sites (fractional):
Mo  0.2309  0.0000  0.1552
P  0.1403  0.5000  0.2708
Cl  0.0224  0.0000  0.7849
O  0.0314  0.5000  0.7612
O  0.1946  0.3199  0.1547
O  0.2265  0.5000  0.5178